Structure and simulated powder diffraction line list of Ho4SnAu3 (a GGA-PBE-relaxed structure; Cu Kα X-rays).
Peak positions follow from Bragg's law for the DFT cell and can differ from measured ones.

Crystal structure
```
data_Ho4SnAu3
_cell_length_a 3.7915
_cell_length_b 4.6568
_cell_length_c 11.1700
_cell_angle_alpha 90.00
_cell_angle_beta 90.00
_cell_angle_gamma 90.00
_space_group_name_H-M_alt 'P 1'
_space_group_IT_number 1
loop_
_space_group_symop_operation_xyz
'x,y,z'
loop_
_atom_site_label
_atom_site_type_symbol
_atom_site_fract_x
_atom_site_fract_y
_atom_site_fract_z
Ho1 Ho 0.0000 0.0000 0.0000
Ho2 Ho 0.0000 0.5000 0.2679
Ho3 Ho 0.5000 0.0000 0.4790
Ho4 Ho 0.5000 0.5000 0.7814
Sn1 Sn 0.0000 0.0000 0.7131
Au1 Au 0.0000 0.5000 0.5371
Au2 Au 0.5000 0.0000 0.2166
Au3 Au 0.5000 0.5000 0.0453
```

Top 12 peaks for 2θ from 5° to 70°, low angle first:
2θ = 31.46°, intensity 100, hkl 1 1 1; 2θ = 32.05°, intensity 30, hkl 0 0 4; 2θ = 33.74°, intensity 15, hkl 1 0 3; 2θ = 37.56°, intensity 29, hkl 0 1 4; 2θ = 38.67°, intensity 35, hkl 0 2 0; 2θ = 39.03°, intensity 71, hkl 1 1 3; 2θ = 47.99°, intensity 19, hkl 2 0 0; 2θ = 51.07°, intensity 16, hkl 0 2 4; 2θ = 58.88°, intensity 11, hkl 2 0 4; 2θ = 62.48°, intensity 13, hkl 2 1 4; 2θ = 63.24°, intensity 28, hkl 2 2 0; 2θ = 65.51°, intensity 12, hkl 1 3 1